[1]
The following is a computed X-ray diffraction stick pattern of CsOs3Au. It was derived from a structure optimized by DFT (GGA-PBE), using Cu Kα, 1.54184 Å.

Top 10 peaks for 2θ from 15° to 90°, by angle:
| 2theta | intensity |
| --- | --- |
| 18.01 | 109 |
| 25.57 | 129 |
| 31.46 | 986 |
| 36.48 | 1000 |
| 52.55 | 711 |
| 62.54 | 430 |
| 65.66 | 244 |
| 77.51 | 115 |
| 86.03 | 185 |
| 88.84 | 342 |

Atomic structure:
Cell lengths 4.9260, 4.9260, 4.9260 Å; angles 90.00, 90.00, 90.00 degrees
Fractional positions:
Cs (0.0000, 0.0000, 0.0000)
Os (0.0000, 0.0000, 0.5000)
Os (0.0000, 0.5000, 0.0000)
Os (0.5000, 0.0000, 0.0000)
Au (0.5000, 0.5000, 0.5000)


[2]
The following is a computed X-ray diffraction stick pattern of DyAl12Co4. It was derived from a structure optimized by DFT (GGA-PBE), using Cu Kα, 1.54184 Å.

Top 10 peaks for 2θ from 15° to 90°, by angle:
| 2theta | intensity |
| --- | --- |
| 19.85 | 509 |
| 24.38 | 845 |
| 28.22 | 901 |
| 31.63 | 428 |
| 37.63 | 405 |
| 40.33 | 1000 |
| 42.90 | 267 |
| 49.95 | 372 |
| 52.14 | 271 |
| 58.36 | 643 |

Atomic structure:
Cell lengths 7.7461, 7.7461, 7.7461 Å; angles 109.47, 109.47, 109.47 degrees
Fractional positions:
Dy (0.0000, 0.0000, 0.0000)
Al (0.0000, 0.2584, 0.7416)
Al (0.0000, 0.7416, 0.2584)
Al (0.2584, 0.0000, 0.7416)
Al (0.2584, 0.2584, 0.5167)
Al (0.2584, 0.5167, 0.2584)
Al (0.2584, 0.7416, 0.0000)
Al (0.4833, 0.7416, 0.7416)
Al (0.5167, 0.2584, 0.2584)
Al (0.7416, 0.0000, 0.2584)
Al (0.7416, 0.2584, 0.0000)
Al (0.7416, 0.4833, 0.7416)
Al (0.7416, 0.7416, 0.4833)
Co (0.0000, 0.0000, 0.5000)
Co (0.0000, 0.5000, 0.0000)
Co (0.5000, 0.0000, 0.0000)
Co (0.5000, 0.5000, 0.5000)


[3]
The following is a computed X-ray diffraction stick pattern of Sm3ThPt4. It was derived from a structure optimized by DFT (GGA-PBE), using Cu Kα, 1.54184 Å.

Top 10 peaks for 2θ from 15° to 90°, by angle:
| 2theta | intensity |
| --- | --- |
| 30.37 | 1000 |
| 43.48 | 759 |
| 53.94 | 203 |
| 54.03 | 67 |
| 63.18 | 126 |
| 71.63 | 116 |
| 71.74 | 232 |
| 79.73 | 66 |
| 79.82 | 131 |
| 79.91 | 65 |

Atomic structure:
Cell lengths 7.2206, 8.3218, 7.2037 Å; angles 90.00, 109.53, 90.00 degrees
Fractional positions:
Sm (0.0000, 0.1235, 0.2500)
Sm (0.0000, 0.3737, 0.7500)
Sm (0.0000, 0.6263, 0.2500)
Sm (0.0000, 0.8765, 0.7500)
Sm (0.5000, 0.1242, 0.7500)
Sm (0.5000, 0.8758, 0.2500)
Th (0.5000, 0.3741, 0.2500)
Th (0.5000, 0.6259, 0.7500)
Pt (0.2519, 0.1280, 0.0032)
Pt (0.2519, 0.8720, 0.5032)
Pt (0.2541, 0.3776, 0.4991)
Pt (0.2541, 0.6224, 0.9991)
Pt (0.7459, 0.3776, 0.0009)
Pt (0.7459, 0.6224, 0.5009)
Pt (0.7481, 0.1280, 0.4968)
Pt (0.7481, 0.8720, 0.9968)


[4]
The following is a computed X-ray diffraction stick pattern of Sr2AlPt3. It was derived from a structure optimized by DFT (GGA-PBE), using Cu Kα, 1.54184 Å.

Top 10 peaks for 2θ from 15° to 90°, by angle:
| 2theta | intensity |
| --- | --- |
| 26.24 | 544 |
| 30.20 | 595 |
| 30.67 | 1000 |
| 31.41 | 774 |
| 40.60 | 538 |
| 42.75 | 335 |
| 44.47 | 724 |
| 54.00 | 339 |
| 60.42 | 338 |
| 68.01 | 251 |

Atomic structure:
Cell lengths 6.9988, 6.9988, 6.9988 Å; angles 144.82, 131.98, 60.91 degrees
Fractional positions:
Sr (0.1802, 0.1802, 0.0000)
Sr (0.8198, 0.8198, 0.0000)
Al (0.5000, 0.5000, 0.0000)
Pt (0.0000, 0.5000, 0.5000)
Pt (0.3848, 0.8848, 0.5000)
Pt (0.6152, 0.1152, 0.5000)


[5]
The following is a computed X-ray diffraction stick pattern of PrPuNi2P2. It was derived from a structure optimized by DFT (GGA-PBE), using Cu Kα, 1.54184 Å.

Top 10 peaks for 2θ from 15° to 90°, by angle:
| 2theta | intensity |
| --- | --- |
| 26.10 | 353 |
| 28.42 | 79 |
| 34.53 | 1000 |
| 45.32 | 110 |
| 46.05 | 322 |
| 53.05 | 113 |
| 58.81 | 216 |
| 66.60 | 206 |
| 76.70 | 108 |
| 77.77 | 192 |

Atomic structure:
Cell lengths 3.9421, 3.9421, 8.0033 Å; angles 90.00, 90.00, 120.00 degrees
Fractional positions:
Pr (0.0000, 0.0000, 0.0000)
Pu (0.0000, 0.0000, 0.5000)
Ni (0.3333, 0.6667, 0.7380)
Ni (0.6667, 0.3333, 0.2620)
P (0.3333, 0.6667, 0.2579)
P (0.6667, 0.3333, 0.7421)


[6]
The following is a computed X-ray diffraction stick pattern of PrDyMgSc. It was derived from a structure optimized by DFT (GGA-PBE), using Cu Kα, 1.54184 Å.

Top 10 peaks for 2θ from 15° to 90°, by angle:
| 2theta | intensity |
| --- | --- |
| 27.09 | 431 |
| 28.83 | 146 |
| 31.90 | 1000 |
| 36.09 | 377 |
| 38.76 | 149 |
| 46.83 | 184 |
| 51.96 | 131 |
| 54.00 | 188 |
| 59.57 | 99 |
| 62.28 | 286 |

Atomic structure:
Cell lengths 3.5187, 3.5210, 9.2913 Å; angles 89.94, 89.98, 90.00 degrees
Fractional positions:
Pr (0.0000, 0.0000, 0.0000)
Dy (0.4999, 0.5001, 0.7137)
Mg (0.5015, 0.4998, 0.2583)
Sc (0.0008, 0.0000, 0.4685)


[7]
The following is a computed X-ray diffraction stick pattern of CdCu2As. It was derived from a structure optimized by DFT (GGA-PBE), using Cu Kα, 1.54184 Å.

Top 10 peaks for 2θ from 15° to 90°, by angle:
| 2theta | intensity |
| --- | --- |
| 26.47 | 127 |
| 31.27 | 1000 |
| 44.96 | 358 |
| 45.12 | 192 |
| 47.29 | 99 |
| 47.72 | 494 |
| 65.60 | 110 |
| 69.67 | 144 |
| 78.45 | 103 |
| 85.18 | 87 |

Atomic structure:
Cell lengths 8.6007, 8.6007, 8.6007 Å; angles 150.84, 150.84, 41.70 degrees
Fractional positions:
Cd (0.0000, 0.0000, 0.0000)
Cd (0.7500, 0.2500, 0.5000)
Cu (0.2178, 0.6250, 0.0928)
Cu (0.3750, 0.4678, 0.5928)
Cu (0.5322, 0.1250, 0.9072)
Cu (0.8750, 0.7822, 0.4072)
As (0.2500, 0.7500, 0.5000)
As (0.5000, 0.5000, 0.0000)


[8]
The following is a computed X-ray diffraction stick pattern of ThCd6. It was derived from a structure optimized by DFT (GGA-PBE), using Cu Kα, 1.54184 Å.

Top 10 peaks for 2θ from 15° to 90°, by angle:
| 2theta | intensity |
| --- | --- |
| 18.11 | 171 |
| 28.40 | 259 |
| 30.09 | 101 |
| 35.34 | 1000 |
| 36.08 | 86 |
| 36.69 | 505 |
| 52.41 | 140 |
| 52.86 | 173 |
| 62.55 | 129 |
| 65.20 | 322 |

Atomic structure:
Cell lengths 4.8987, 4.8987, 7.4687 Å; angles 90.00, 90.00, 90.00 degrees
Fractional positions:
Th (0.0000, 0.0000, 0.0000)
Cd (0.0000, 0.0000, 0.5000)
Cd (0.0000, 0.5000, 0.2875)
Cd (0.0000, 0.5000, 0.7125)
Cd (0.5000, 0.0000, 0.2875)
Cd (0.5000, 0.0000, 0.7125)
Cd (0.5000, 0.5000, 0.0000)


[9]
The following is a computed X-ray diffraction stick pattern of Nd6Dy2In. It was derived from a structure optimized by DFT (GGA-PBE), using Cu Kα, 1.54184 Å.

Top 10 peaks for 2θ from 15° to 90°, by angle:
| 2theta | intensity |
| --- | --- |
| 27.26 | 402 |
| 28.06 | 279 |
| 31.80 | 865 |
| 32.11 | 1000 |
| 32.65 | 828 |
| 33.07 | 641 |
| 43.90 | 223 |
| 51.10 | 227 |
| 58.65 | 243 |
| 65.23 | 245 |

Atomic structure:
Cell lengths 11.4742, 11.4742, 6.3605 Å; angles 106.05, 106.05, 47.84 degrees
Fractional positions:
Nd (0.0069, 0.1506, 0.2193)
Nd (0.0816, 0.5814, 0.0815)
Nd (0.1506, 0.0069, 0.7193)
Nd (0.3492, 0.4933, 0.5621)
Nd (0.4186, 0.9184, 0.4185)
Nd (0.4933, 0.3492, 0.0621)
Nd (0.5067, 0.6508, 0.9379)
Nd (0.5814, 0.0816, 0.5815)
Nd (0.6508, 0.5067, 0.4379)
Nd (0.8494, 0.9931, 0.2807)
Nd (0.9184, 0.4186, 0.9185)
Nd (0.9931, 0.8494, 0.7807)
Dy (0.1724, 0.3275, 0.5758)
Dy (0.3275, 0.1724, 0.0758)
Dy (0.6725, 0.8276, 0.9242)
Dy (0.8276, 0.6725, 0.4242)
In (0.2500, 0.7500, 0.2500)
In (0.7500, 0.2500, 0.7500)